Diffraction record for Tb2SiMo2C2. The X-ray diffraction stick pattern is calculated, not measured: it uses a DFT-relaxed cell (GGA-PBE, OQMD) and Cu Kα X-rays.

Cell and atoms:
a b c (Å): 13.1895 3.2743 5.7224
angles (deg): 90.00 98.53 90.00
Space group C2/m (No. 12)
Inequivalent atoms, fractional coordinates:
1 Tb 0.1338 0.0000 0.3804 (multiplicity 4)
2 Si 0.0000 0.5000 0.0000 (multiplicity 2)
3 Mo 0.1694 0.5000 0.8891 (multiplicity 4)
4 C 0.2460 0.0000 0.7660 (multiplicity 4)

Peak list (8 most intense, 2θ from 15° to 90°, sorted by position)
h k l  2θ (°)  d (Å)  I/Imax
4 0 0  27.35  3.261  37
4 0 -1  29.52  3.026  17
2 0 -2  32.57  2.749  40
1 1 1  32.83  2.728  100
2 0 2  36.50  2.462  97
5 1 0  44.40  2.040  14
5 1 -1  45.47  1.995  21
1 1 -3  55.78  1.648  21